This entry pairs a crystal structure of Ba2In6NiRh with its calculated powder diffraction line list. Radiation: Cu Kα (weighted mean of Kα1 and Kα2). Structure: a PBE-relaxed structure.

Main lines, low angle first (2θ from 10° to 80°):
- hkl -1 1 1, 17.15 deg, intensity 108
- hkl 1 1 -1, 24.43 deg, intensity 137
- hkl 0 1 -2, 28.49 deg, intensity 337
- hkl 0 0 2, 29.71 deg, intensity 164
- hkl 2 -2 0, 30.00 deg, intensity 791
- hkl -2 2 2, 34.69 deg, intensity 1000
- hkl 0 2 2, 49.65 deg, intensity 124
- hkl 2 -4 0, 50.06 deg, intensity 360
- hkl 1 2 1, 52.17 deg, intensity 122
- hkl 4 -4 0, 62.30 deg, intensity 96

Crystal structure
```
data_Ba2In6NiRh
_chemical_formula_sum 'Ba2 In6 Ni1 Rh1'
_symmetry_space_group_name_H-M 'P -1'
_symmetry_Int_Tables_number 2
_cell_length_a 7.283
_cell_length_b 7.290
_cell_length_c 7.329
_cell_angle_alpha 90.09
_cell_angle_beta 119.63
_cell_angle_gamma 119.97
loop_
_symmetry_equiv_pos_as_xyz
'x,y,z'
'-x,-y,-z'
loop_
_atom_site_label
_atom_site_fract_x
_atom_site_fract_y
_atom_site_fract_z
_atom_site_occupancy
Ba1 0.049 0.276 0.328 1
In1 0.009 0.756 0.204 1
In2 0.448 0.196 0.205 1
In3 0.448 0.753 0.204 1
Ni1 0.500 0.000 0.500 1
Rh1 0.500 0.500 0.000 1
```

This entry pairs a crystal structure of BaSr3Cl8 with its calculated powder diffraction line list. Radiation: Cu Kα (weighted mean of Kα1 and Kα2). Structure: a PBE-relaxed structure.

Main lines, low angle first (2θ from 10° to 80°):
- hkl 1 1 1, 21.55 deg, intensity 819
- hkl 2 0 0, 24.93 deg, intensity 25
- hkl 2 2 0, 35.55 deg, intensity 1000
- hkl 3 1 1, 41.95 deg, intensity 427
- hkl 4 0 0, 51.16 deg, intensity 164
- hkl 3 3 1, 56.13 deg, intensity 179
- hkl 4 2 2, 63.85 deg, intensity 326
- hkl 5 1 1, 68.23 deg, intensity 134
- hkl 4 4 0, 75.26 deg, intensity 100
- hkl 5 3 1, 79.37 deg, intensity 133

Crystal structure
```
data_BaSr3Cl8
_chemical_formula_sum 'Ba1 Sr3 Cl8'
_symmetry_space_group_name_H-M 'P m -3 m'
_symmetry_Int_Tables_number 221
_symmetry_space_group_name_Hall '-P 4 2 3'
_cell_length_a 7.142
_cell_length_b 7.142
_cell_length_c 7.142
_cell_angle_alpha 90.00
_cell_angle_beta 90.00
_cell_angle_gamma 90.00
loop_
_atom_site_label
_atom_site_fract_x
_atom_site_fract_y
_atom_site_fract_z
_atom_site_occupancy
Ba1 0.000 0.000 0.000 1
Sr1 0.000 0.500 0.500 1
Cl1 0.255 0.255 0.255 1
```

This entry pairs a crystal structure of Pm5Dy2Th3 with its calculated powder diffraction line list. Radiation: Cu Kα (weighted mean of Kα1 and Kα2). Structure: a PBE-relaxed structure.

Main lines, low angle first (2θ from 10° to 80°):
- hkl 1 1 3, 30.37 deg, intensity 1000
- hkl 4 0 2, 35.15 deg, intensity 339
- hkl 0 2 0, 35.31 deg, intensity 168
- hkl 6 0 -2, 50.56 deg, intensity 123
- hkl 4 2 2, 50.68 deg, intensity 243
- hkl 7 1 1, 60.13 deg, intensity 290
- hkl 1 3 3, 60.34 deg, intensity 145
- hkl 6 2 -2, 63.18 deg, intensity 126
- hkl 8 0 4, 74.31 deg, intensity 39
- hkl 0 4 0, 74.69 deg, intensity 19

Crystal structure
```
data_Pm5Dy2Th3
_chemical_formula_sum 'Pm10 Dy4 Th6'
_symmetry_space_group_name_H-M 'C 1 2/m 1'
_symmetry_Int_Tables_number 12
_cell_length_a 11.420
_cell_length_b 5.084
_cell_length_c 11.413
_cell_angle_alpha 90.00
_cell_angle_beta 90.04
_cell_angle_gamma 90.00
loop_
_symmetry_equiv_pos_as_xyz
'x,y,z'
'-x,-y,-z'
'-x,y,-z'
'x,-y,z'
'x+1/2,y+1/2,z'
'-x+1/2,-y+1/2,-z'
'-x+1/2,y+1/2,-z'
'x+1/2,-y+1/2,z'
loop_
_atom_site_label
_atom_site_fract_x
_atom_site_fract_y
_atom_site_fract_z
_atom_site_occupancy
Pm1 0.000 0.000 0.000 1
Pm2 0.198 0.500 0.103 1
Pm3 0.199 0.000 0.599 1
Dy1 0.098 0.500 0.795 1
Th1 0.000 0.500 0.500 1
Th2 0.098 0.000 0.302 1
```